Diffraction record for Er8In3Co. The PXRD pattern is theoretical, not measured: it uses a structure optimized by DFT (PBE) and CuKα.

Cell and atoms:
Lattice parameters (Å, degrees): 10.2982 10.2982 6.9110 90.00 90.00 120.00
Space group P6_3mc (No. 186)
Symmetry-distinct sites (fractional):
Er 0.0000 0.0000 0.2784
Er 0.0683 0.5341 0.2908
Er 0.1784 0.3567 0.0000
Er 0.3333 0.6667 0.6814
In 0.1633 0.3265 0.5363
Co 0.3333 0.6667 0.0690

Peak list (10 most intense, 2θ from 10° to 90°, sorted by position)
- 3.030 Å, 2θ 29.5, rel. 30, hkl 2 1 1
- 2.869 Å, 2θ 31.2, rel. 17, hkl 1 1 2
- 2.731 Å, 2θ 32.8, rel. 100, hkl 2 0 2
- 2.575 Å, 2θ 34.8, rel. 80, hkl 2 2 0
- 1.873 Å, 2θ 48.6, rel. 21, hkl 4 0 2
- 1.727 Å, 2θ 53.0, rel. 13, hkl 0 0 4
- 1.537 Å, 2θ 60.2, rel. 9, hkl 3 3 2
- 1.530 Å, 2θ 60.5, rel. 12, hkl 3 2 3
- 1.515 Å, 2θ 61.2, rel. 10, hkl 4 2 2
- 1.435 Å, 2θ 65.0, rel. 16, hkl 2 2 4

=====

Diffraction record for PrThCN. The PXRD pattern is theoretical, not measured: it uses a structure optimized by DFT (PBE) and CuKα.

Cell and atoms:
Lattice parameters (Å, degrees): 3.7522 3.7522 18.2868 90.00 90.00 120.00
Space group R3m (No. 160, hexagonal axes)
Symmetry-distinct sites (fractional):
Pr 0.0000 0.0000 0.0000
Th 0.0000 0.0000 0.4991
C 0.0000 0.0000 0.2447
N 0.0000 0.0000 0.7563

Peak list (10 most intense, 2θ from 10° to 90°, sorted by position)
- 3.062 Å, 2θ 29.2, rel. 100, hkl 0 1 2
- 3.048 Å, 2θ 29.3, rel. 33, hkl 0 0 6
- 2.649 Å, 2θ 33.8, rel. 90, hkl 1 0 4
- 1.876 Å, 2θ 48.5, rel. 32, hkl 1 1 0
- 1.870 Å, 2θ 48.7, rel. 32, hkl 0 1 8
- 1.598 Å, 2θ 57.7, rel. 47, hkl 1 1 6
- 1.594 Å, 2θ 57.9, rel. 16, hkl 1 0 10
- 1.531 Å, 2θ 60.5, rel. 17, hkl 0 2 4
- 1.186 Å, 2θ 81.1, rel. 15, hkl 2 1 4
- 1.183 Å, 2θ 81.3, rel. 14, hkl 1 1 12

=====

Diffraction record for Al18Co5Ni3. The PXRD pattern is theoretical, not measured: it uses a structure optimized by DFT (PBE) and CuKα.

Cell and atoms:
Lattice parameters (Å, degrees): 12.1465 4.0631 15.1989 90.00 105.88 90.00
Space group Cm (No. 8)
Symmetry-distinct sites (fractional):
Al 0.0000 0.0000 0.0000
Al 0.9998 0.0000 0.4979
Al 0.0834 0.5000 0.2996
Al 0.0854 0.5000 0.7985
Al 0.1755 0.0000 0.4012
Al 0.1772 0.0000 0.9028
Al 0.1801 0.5000 0.5207
Al 0.1811 0.5000 0.0213
Al 0.1845 0.0000 0.1397
Al 0.1847 0.0000 0.6396
Al 0.2763 0.5000 0.7441
Al 0.2773 0.5000 0.2452
Al 0.3614 0.0000 0.5428
Al 0.3620 0.0000 0.0430
Al 0.3812 0.0000 0.8668
Al 0.3847 0.0000 0.3672
Al 0.4806 0.5000 0.6755
Al 0.4818 0.5000 0.1781
Co 0.0674 0.5000 0.1256
Co 0.0679 0.5000 0.6271
Co 0.2945 0.5000 0.4166
Co 0.2944 0.5000 0.9162
Co 0.4748 0.5000 0.3341
Ni 0.3860 0.0000 0.2072
Ni 0.3872 0.0000 0.7085
Ni 0.4748 0.5000 0.8344

Peak list (10 most intense, 2θ from 10° to 90°, sorted by position)
- 4.054 Å, 2θ 21.9, rel. 36, hkl 2 0 2
- 3.568 Å, 2θ 25.0, rel. 23, hkl 2 0 -4
- 3.531 Å, 2θ 25.2, rel. 29, hkl 1 1 -2
- 3.279 Å, 2θ 27.2, rel. 36, hkl 1 1 2
- 2.057 Å, 2θ 44.0, rel. 35, hkl 2 0 6
- 2.053 Å, 2θ 44.1, rel. 99, hkl 3 1 -6
- 2.042 Å, 2θ 44.4, rel. 39, hkl 3 1 4
- 2.032 Å, 2θ 44.6, rel. 60, hkl 0 2 0
- 2.025 Å, 2θ 44.7, rel. 100, hkl 5 1 0
- 1.177 Å, 2θ 81.9, rel. 27, hkl 3 3 -6

=====

Diffraction record for CaZn11. The PXRD pattern is theoretical, not measured: it uses a structure optimized by DFT (PBE) and CuKα.

Cell and atoms:
Lattice parameters (Å, degrees): 10.7035 10.7035 6.8385 90.00 90.00 90.00
Space group I4_1/amd (No. 141, origin choice 2)
Symmetry-distinct sites (fractional):
Ca 0.0000 0.2500 0.3750
Zn 0.0000 0.0000 0.0000
Zn 0.0000 0.2500 0.8750
Zn 0.1214 0.0446 0.6781

Peak list (10 most intense, 2θ from 10° to 90°, sorted by position)
- 5.763 Å, 2θ 15.4, rel. 19, hkl 1 0 1
- 5.352 Å, 2θ 16.6, rel. 20, hkl 2 0 0
- 2.723 Å, 2θ 32.9, rel. 19, hkl 3 2 1
- 2.405 Å, 2θ 37.4, rel. 62, hkl 3 1 2
- 2.393 Å, 2θ 37.6, rel. 52, hkl 4 2 0
- 2.229 Å, 2θ 40.5, rel. 24, hkl 1 0 3
- 2.058 Å, 2θ 44.0, rel. 35, hkl 2 1 3
- 2.043 Å, 2θ 44.3, rel. 100, hkl 5 0 1
- 1.961 Å, 2θ 46.3, rel. 36, hkl 4 2 2
- 1.384 Å, 2θ 67.7, rel. 20, hkl 5 5 2

=====

Diffraction record for MnCr2Se3S. The PXRD pattern is theoretical, not measured: it uses a structure optimized by DFT (PBE) and CuKα.

Cell and atoms:
Lattice parameters (Å, degrees): 13.4441 3.6820 6.3319 90.00 116.44 90.00
Space group Cm (No. 8)
Symmetry-distinct sites (fractional):
Mn 0.0000 0.0000 0.0000
Cr 0.2388 0.5000 0.7752
Cr 0.2525 0.0000 0.2531
Se 0.1290 0.5000 0.3148
Se 0.3610 0.0000 0.7080
Se 0.3698 0.5000 0.2144
S 0.1368 0.0000 0.8328

Peak list (10 most intense, 2θ from 10° to 90°, sorted by position)
- 6.019 Å, 2θ 14.7, rel. 34, hkl 2 0 0
- 5.537 Å, 2θ 16.0, rel. 25, hkl 2 0 -1
- 2.832 Å, 2θ 31.6, rel. 99, hkl 0 0 2
- 2.797 Å, 2θ 32.0, rel. 100, hkl 3 1 -1
- 2.213 Å, 2θ 40.8, rel. 40, hkl 2 0 2
- 2.203 Å, 2θ 41.0, rel. 39, hkl 3 1 1
- 2.171 Å, 2θ 41.6, rel. 68, hkl 5 1 -1
- 1.841 Å, 2θ 49.5, rel. 34, hkl 0 2 0
- 1.831 Å, 2θ 49.8, rel. 64, hkl 3 1 -3
- 1.708 Å, 2θ 53.6, rel. 28, hkl 5 1 1

=====

Diffraction record for Tb3CrSe6. The PXRD pattern is theoretical, not measured: it uses a structure optimized by DFT (PBE) and CuKα.

Cell and atoms:
Lattice parameters (Å, degrees): 13.9973 16.7993 3.9563 90.00 90.00 90.00
Space group Pnnm (No. 58)
Symmetry-distinct sites (fractional):
Tb 0.0516 0.2218 0.0000
Tb 0.1800 0.6482 0.0000
Tb 0.2423 0.9036 0.5000
Cr 0.0000 0.0000 0.5000
Cr 0.0000 0.5000 0.5000
Se 0.0232 0.4022 0.0000
Se 0.0807 0.9232 0.0000
Se 0.1032 0.7555 0.5000
Se 0.1213 0.1080 0.5000
Se 0.1807 0.5205 0.5000
Se 0.1897 0.2899 0.5000

Peak list (10 most intense, 2θ from 10° to 90°, sorted by position)
- 3.601 Å, 2θ 24.7, rel. 15, hkl 2 4 0
- 2.726 Å, 2θ 32.8, rel. 16, hkl 3 5 0
- 2.658 Å, 2θ 33.7, rel. 100, hkl 3 3 1
- 2.561 Å, 2θ 35.0, rel. 33, hkl 0 5 1
- 2.519 Å, 2θ 35.6, rel. 15, hkl 1 5 1
- 2.502 Å, 2θ 35.9, rel. 17, hkl 4 2 1
- 2.264 Å, 2θ 39.8, rel. 24, hkl 5 1 1
- 2.052 Å, 2θ 44.1, rel. 18, hkl 3 6 1
- 1.978 Å, 2θ 45.9, rel. 36, hkl 0 0 2
- 1.915 Å, 2θ 47.5, rel. 14, hkl 3 8 0

=====

Diffraction record for SrCaInSbO6. The PXRD pattern is theoretical, not measured: it uses a structure optimized by DFT (PBE) and CuKα.

Cell and atoms:
Lattice parameters (Å, degrees): 8.1990 8.1990 8.1990 90.00 90.00 90.00
Space group F-43m (No. 216)
Symmetry-distinct sites (fractional):
Sr 0.0000 0.0000 0.0000
Ca 0.0000 0.0000 0.5000
In 0.2500 0.2500 0.2500
Sb 0.2500 0.2500 0.7500
O 0.0086 0.2500 0.7500

Peak list (10 most intense, 2θ from 10° to 90°, sorted by position)
- 4.734 Å, 2θ 18.7, rel. 4, hkl 1 1 1
- 4.100 Å, 2θ 21.7, rel. 22, hkl 2 0 0
- 2.899 Å, 2θ 30.8, rel. 100, hkl 2 2 0
- 2.050 Å, 2θ 44.2, rel. 35, hkl 4 0 0
- 1.833 Å, 2θ 49.7, rel. 9, hkl 4 2 0
- 1.674 Å, 2θ 54.9, rel. 39, hkl 4 2 2
- 1.449 Å, 2θ 64.3, rel. 20, hkl 4 4 0
- 1.296 Å, 2θ 73.0, rel. 17, hkl 6 2 0
- 1.183 Å, 2θ 81.3, rel. 7, hkl 4 4 4
- 1.096 Å, 2θ 89.4, rel. 21, hkl 6 4 2